Simulated XRD peak list
Compound: Cs2AlCuF6
Radiation: CuKα
Structure: a crystal structure in Alexandria, relaxed with GGA-PBE
Intensities are scaled so that the largest is 1000.

Cell and atoms:
```
data_Cs2AlCuF6
_cell_length_a 6.7745
_cell_length_b 6.1517
_cell_length_c 6.1166
_cell_angle_alpha 67.03
_cell_angle_beta 56.73
_cell_angle_gamma 56.24
_space_group_name_H-M_alt 'P 1'
_space_group_IT_number 1
loop_
_space_group_symop_operation_xyz
'x,y,z'
loop_
_atom_site_label
_atom_site_fract_x
_atom_site_fract_y
_atom_site_fract_z
Cs1 0.2500 0.2500 0.2500
Cs2 0.7500 0.7500 0.7500
Al1 0.0000 0.0000 0.0000
Cu1 0.5000 0.5000 0.5000
F1 0.1874 0.1874 0.8126
F2 0.1897 0.8104 0.1897
F3 0.2544 0.7456 0.7456
F4 0.7456 0.2544 0.2544
F5 0.8104 0.1897 0.8104
F6 0.8126 0.8126 0.1874
```

Largest 6 diffraction maxima, in order of rising 2θ, 10 to 90 degrees two-theta:
two_theta, d/Å, intensity
26.31, 3.387, 1000
29.81, 2.998, 678
29.92, 2.987, 668
35.37, 2.538, 533
37.37, 2.406, 321
37.74, 2.384, 315

Simulated XRD peak list
Compound: CaYGaS4
Radiation: CuKα
Structure: a crystal structure in Alexandria, relaxed with GGA-PBE
Intensities are scaled so that the largest is 1000.

Cell and atoms:
```
data_CaYGaS4
_cell_length_a 7.7848
_cell_length_b 7.7848
_cell_length_c 7.7848
_cell_angle_alpha 120.89
_cell_angle_beta 119.18
_cell_angle_gamma 89.95
_space_group_name_H-M_alt 'P 1'
_space_group_IT_number 1
loop_
_space_group_symop_operation_xyz
'x,y,z'
loop_
_atom_site_label
_atom_site_fract_x
_atom_site_fract_y
_atom_site_fract_z
Ca1 0.5000 0.0000 0.0000
Ca2 0.5000 0.5000 0.5000
Y1 0.0000 0.0000 0.0000
Y2 0.5000 0.0000 0.5000
Ga1 0.1159 0.3659 0.7500
Ga2 0.8841 0.6341 0.2500
S1 0.2413 0.2482 0.9931
S2 0.2451 0.2462 0.5011
S3 0.2451 0.7440 0.9989
S4 0.2450 0.7518 0.4931
S5 0.7550 0.2482 0.5069
S6 0.7549 0.2560 0.0011
S7 0.7549 0.7538 0.4989
S8 0.7587 0.7518 0.0069
```

Largest 6 diffraction maxima, in order of rising 2θ, 10 to 90 degrees two-theta:
two_theta, d/Å, intensity
22.85, 3.892, 340
26.68, 3.341, 870
26.92, 3.312, 469
27.07, 3.294, 410
32.54, 2.751, 727
46.68, 1.946, 1000

Simulated XRD peak list
Compound: LaPr8Y2
Radiation: CuKα
Structure: a crystal structure in Alexandria, relaxed with GGA-PBE
Intensities are scaled so that the largest is 1000.

Cell and atoms:
```
data_LaPr8Y2
_cell_length_a 9.6120
_cell_length_b 9.6120
_cell_length_c 9.6120
_cell_angle_alpha 145.02
_cell_angle_beta 128.00
_cell_angle_gamma 64.21
_space_group_name_H-M_alt 'P 1'
_space_group_IT_number 1
loop_
_space_group_symop_operation_xyz
'x,y,z'
loop_
_atom_site_label
_atom_site_fract_x
_atom_site_fract_y
_atom_site_fract_z
La1 0.0000 0.0000 0.0000
Pr1 0.1582 0.8616 0.2965
Pr2 0.1631 0.6631 0.5000
Pr3 0.2936 0.5000 0.7936
Pr4 0.4349 0.1384 0.2965
Pr5 0.5651 0.8616 0.7035
Pr6 0.7064 0.5000 0.2064
Pr7 0.8369 0.3369 0.5000
Pr8 0.8418 0.1384 0.7035
Y1 0.2998 0.2998 0.0000
Y2 0.7002 0.7002 0.0000
```

Largest 6 diffraction maxima, in order of rising 2θ, 10 to 90 degrees two-theta:
two_theta, d/Å, intensity
28.84, 3.095, 208
30.99, 2.885, 1000
31.53, 2.837, 99
32.34, 2.768, 115
33.00, 2.714, 112
55.11, 1.666, 168

Simulated XRD peak list
Compound: Ga40GeMo8
Radiation: CuKα
Structure: a crystal structure in Alexandria, relaxed with GGA-PBE
Intensities are scaled so that the largest is 1000.

Cell and atoms:
```
data_Ga40GeMo8
_cell_length_a 9.5953
_cell_length_b 9.5953
_cell_length_c 9.5953
_cell_angle_alpha 93.95
_cell_angle_beta 93.95
_cell_angle_gamma 93.95
_space_group_name_H-M_alt 'P 1'
_space_group_IT_number 1
loop_
_space_group_symop_operation_xyz
'x,y,z'
loop_
_atom_site_label
_atom_site_fract_x
_atom_site_fract_y
_atom_site_fract_z
Ga1 0.0000 0.0000 0.0000
Ga2 0.0000 0.0000 0.5000
Ga3 0.0000 0.5000 0.0000
Ga4 0.0257 0.1672 0.2696
Ga5 0.0550 0.7223 0.4257
Ga6 0.0949 0.4608 0.2824
Ga7 0.1135 0.7595 0.1362
Ga8 0.1362 0.1135 0.7595
Ga9 0.1672 0.2696 0.0257
Ga10 0.1880 0.6242 0.6711
Ga11 0.2405 0.8638 0.8865
Ga12 0.2416 0.3722 0.5428
Ga13 0.2696 0.0257 0.1672
Ga14 0.2777 0.5743 0.9450
Ga15 0.2824 0.0949 0.4608
Ga16 0.3289 0.8120 0.3758
Ga17 0.3722 0.5428 0.2416
Ga18 0.3758 0.3289 0.8120
Ga19 0.4257 0.0550 0.7223
Ga20 0.4572 0.7584 0.6278
Ga21 0.4608 0.2824 0.0949
Ga22 0.5000 0.0000 0.0000
Ga23 0.5392 0.7176 0.9051
Ga24 0.5428 0.2416 0.3722
Ga25 0.5743 0.9450 0.2777
Ga26 0.6242 0.6711 0.1880
Ga27 0.6278 0.4572 0.7584
Ga28 0.6711 0.1880 0.6242
Ga29 0.7176 0.9051 0.5392
Ga30 0.7223 0.4257 0.0550
Ga31 0.7304 0.9743 0.8328
Ga32 0.7584 0.6278 0.4572
Ga33 0.7595 0.1362 0.1135
Ga34 0.8120 0.3758 0.3289
Ga35 0.8328 0.7304 0.9743
Ga36 0.8638 0.8865 0.2405
Ga37 0.8865 0.2405 0.8638
Ga38 0.9051 0.5392 0.7176
Ga39 0.9450 0.2777 0.5743
Ga40 0.9743 0.8328 0.7304
Ge1 0.5000 0.5000 0.5000
Mo1 0.1123 0.3902 0.7835
Mo2 0.2165 0.8877 0.6098
Mo3 0.2826 0.2826 0.2826
Mo4 0.3902 0.7835 0.1123
Mo5 0.6098 0.2165 0.8877
Mo6 0.7174 0.7174 0.7174
Mo7 0.7835 0.1123 0.3902
Mo8 0.8877 0.6098 0.2165
```

Largest 6 diffraction maxima, in order of rising 2θ, 10 to 90 degrees two-theta:
two_theta, d/Å, intensity
30.86, 2.898, 653
39.64, 2.274, 957
39.90, 2.259, 877
41.61, 2.171, 732
43.64, 2.074, 1000
44.75, 2.025, 916